1.
Diffraction record for Ni3Rh. The powder diffractogram is calculated, not measured: it uses a GGA-PBE-relaxed structure and Cu Kα (λ = 1.5418 Å).
Peak positions follow from Bragg's law for the DFT cell and can differ from measured ones.

Principal peaks in the range 10 to 90 degrees two-theta, in order of falling intensity:
46.44 deg, I 100
44.03 deg, I 26
40.59 deg, I 25
82.70 deg, I 17
73.85 deg, I 15
61.42 deg, I 14

Structural model:
Cell lengths 5.133, 5.133, 4.113 Å; angles 90.00, 90.00, 120.00 degrees
Fractional positions:
Ni 0.163 0.327 0.250
Ni 0.163 0.837 0.250
Ni 0.327 0.163 0.750
Ni 0.673 0.837 0.250
Ni 0.837 0.163 0.750
Ni 0.837 0.673 0.750
Rh 0.333 0.667 0.750
Rh 0.667 0.333 0.250

=====

2.
Diffraction record for CsAlCuF6. The powder diffractogram is calculated, not measured: it uses a GGA-PBE-relaxed structure and Cu Kα (λ = 1.5418 Å).
Peak positions follow from Bragg's law for the DFT cell and can differ from measured ones.

Principal peaks in the range 10 to 90 degrees two-theta, in order of falling intensity:
29.05 deg, I 100
28.60 deg, I 55
24.49 deg, I 45
50.19 deg, I 35
46.03 deg, I 28
24.74 deg, I 23

Structural model:
Cell lengths 7.272, 7.272, 7.272 Å; angles 120.72, 120.68, 88.79 degrees
Fractional positions:
Cs 0.374 0.124 0.250
Cs 0.626 0.876 0.750
Al 0.000 0.500 0.500
Al 0.500 0.500 0.000
Cu 0.000 0.000 0.500
Cu 0.000 0.500 0.000
F 0.073 0.823 0.250
F 0.077 0.438 0.278
F 0.077 0.798 0.638
F 0.298 0.548 0.750
F 0.340 0.202 0.778
F 0.340 0.562 0.138
F 0.660 0.438 0.862
F 0.660 0.798 0.222
F 0.702 0.452 0.250
F 0.923 0.202 0.362
F 0.923 0.562 0.722
F 0.927 0.177 0.750

=====

3.
Diffraction record for Sm2Ga9Ru3. The powder diffractogram is calculated, not measured: it uses a GGA-PBE-relaxed structure and Cu Kα (λ = 1.5418 Å).
Peak positions follow from Bragg's law for the DFT cell and can differ from measured ones.

Principal peaks in the range 10 to 90 degrees two-theta, in order of falling intensity:
36.31 deg, I 100
41.28 deg, I 84
36.19 deg, I 56
41.58 deg, I 41
36.53 deg, I 38
56.29 deg, I 32

Structural model:
Cell lengths 7.541, 7.541, 9.837 Å; angles 90.00, 90.00, 60.47 degrees
Fractional positions:
Sm 0.003 0.669 0.750
Sm 0.331 0.997 0.750
Sm 0.669 0.003 0.250
Sm 0.997 0.331 0.250
Ga 0.006 0.665 0.074
Ga 0.006 0.665 0.426
Ga 0.127 0.873 0.250
Ga 0.335 0.994 0.074
Ga 0.335 0.994 0.426
Ga 0.336 0.454 0.250
Ga 0.337 0.663 0.557
Ga 0.337 0.663 0.943
Ga 0.454 0.336 0.750
Ga 0.546 0.664 0.250
Ga 0.663 0.337 0.057
Ga 0.663 0.337 0.443
Ga 0.664 0.546 0.750
Ga 0.665 0.006 0.574
Ga 0.665 0.006 0.926
Ga 0.873 0.127 0.750
Ga 0.994 0.335 0.574
Ga 0.994 0.335 0.926
Ru 0.000 0.000 0.000
Ru 0.000 0.000 0.500
Ru 0.327 0.327 0.000
Ru 0.327 0.327 0.500
Ru 0.673 0.673 0.000
Ru 0.673 0.673 0.500

=====

4.
Diffraction record for ErAgS2. The powder diffractogram is calculated, not measured: it uses a GGA-PBE-relaxed structure and Cu Kα (λ = 1.5418 Å).
Peak positions follow from Bragg's law for the DFT cell and can differ from measured ones.

Principal peaks in the range 10 to 90 degrees two-theta, in order of falling intensity:
33.07 deg, I 100
27.49 deg, I 91
44.75 deg, I 64
29.28 deg, I 54
55.73 deg, I 37
47.47 deg, I 34

Structural model:
Cell lengths 7.661, 7.662, 12.200 Å; angles 90.00, 90.09, 90.00 degrees
Fractional positions:
Er 0.001 0.000 0.245
Er 0.247 0.248 0.503
Er 0.253 0.748 0.002
Er 0.498 0.494 0.254
Er 0.502 0.994 0.746
Er 0.747 0.248 0.998
Er 0.753 0.748 0.497
Er 0.999 0.500 0.755
Ag 0.003 0.000 0.704
Ag 0.248 0.250 0.019
Ag 0.255 0.748 0.515
Ag 0.497 0.497 0.780
Ag 0.503 0.997 0.220
Ag 0.745 0.248 0.485
Ag 0.752 0.750 0.981
Ag 0.997 0.500 0.296
S 0.018 0.516 0.531
S 0.021 0.020 0.021
S 0.226 0.272 0.280
S 0.231 0.228 0.730
S 0.271 0.728 0.778
S 0.271 0.770 0.228
S 0.478 0.477 0.030
S 0.487 0.986 0.521
S 0.513 0.486 0.479
S 0.522 0.977 0.970
S 0.729 0.228 0.222
S 0.729 0.270 0.772
S 0.769 0.728 0.270
S 0.774 0.772 0.720
S 0.979 0.520 0.979
S 0.982 0.016 0.469